# DyErTl2Zn2
Theoretical powder diffraction line list, Cu Kα X-rays. Input: DFT lattice parameters and positions (PBE).

Top 10 peaks for 15 to 90 degrees two-theta, by intensity:
32.98 deg, rel. 100, hkl 1 0 2; 38.59 deg, rel. 76, hkl 1 1 0; 25.16 deg, rel. 37, hkl 1 0 1; 51.64 deg, rel. 28, hkl 0 2 2; 66.28 deg, rel. 27, hkl 2 1 2; 64.63 deg, rel. 20, hkl 1 1 4; 43.24 deg, rel. 20, hkl 0 1 3; 69.82 deg, rel. 13, hkl 3 0 0; 82.73 deg, rel. 8, hkl 2 2 0; 73.03 deg, rel. 8, hkl 1 2 3

Structure:
a = 4.6664 Å, b = 4.6664 Å, c = 7.3375 Å
α = 90.00°, β = 90.00°, γ = 120.00°
Space group P3m1 (No. 156)
Unique sites:
Dy  0.0000  0.0000  0.0000
Er  0.0000  0.0000  0.5001
Tl  0.3333  0.6667  0.2797
Tl  0.6667  0.3333  0.7792
Zn  0.3333  0.6667  0.6966
Zn  0.6667  0.3333  0.1969